[1]
Diffraction record for Rb2SO4. The powder diffraction line list is computed, not measured: it uses DFT lattice parameters and positions (GGA-PBE) and a wavelength of 1.5418 Å.
No peak broadening, texture or thermal motion is included.

Structure:
```
data_Rb2SO4
_chemical_formula_sum 'Rb8 S4 O16'
_space_group_name_H-M_alt 'F m m 2'
_space_group_IT_number 42
_space_group_name_Hall 'F 2 -2'
_cell_length_a 8.996
_cell_length_b 9.019
_cell_length_c 8.856
_cell_angle_alpha 90.00
_cell_angle_beta 90.00
_cell_angle_gamma 90.00
loop_
_atom_site_label
_atom_site_type_symbol
_atom_site_fract_x
_atom_site_fract_y
_atom_site_fract_z
_atom_site_occupancy
Rb1 Rb 0.250 0.250 0.000 1
S1 S 0.000 0.000 0.250 1
O1 O 0.000 0.136 0.347 1
O2 O 0.136 0.000 0.153 1
```

The 10 most intense peaks (2θ from 10° to 90°), low angle first:
17.15 deg, I 40
19.71 deg, I 28
20.05 deg, I 15
28.02 deg, I 41
28.26 deg, I 100
34.70 deg, I 24
45.01 deg, I 17
45.66 deg, I 14
49.73 deg, I 31
50.18 deg, I 18


[2]
Diffraction record for RbSO3. The powder diffraction line list is computed, not measured: it uses DFT lattice parameters and positions (GGA-PBE) and a wavelength of 1.5418 Å.
No peak broadening, texture or thermal motion is included.

Structure:
```
data_RbSO3
_chemical_formula_sum 'Rb6 S6 O18'
_space_group_name_H-M_alt 'P 3 2 1'
_space_group_IT_number 150
_cell_length_a 10.3543
_cell_length_b 10.3543
_cell_length_c 6.6307
_cell_angle_alpha 90.00
_cell_angle_beta 90.00
_cell_angle_gamma 120.00
loop_
_space_group_symop_operation_xyz
'x,y,z'
'-y,x-y,z'
'-x+y,-x,z'
'y,x,-z'
'x-y,-y,-z'
'-x,-x+y,-z'
loop_
_atom_site_label
_atom_site_type_symbol
_atom_site_fract_x
_atom_site_fract_y
_atom_site_fract_z
_atom_site_occupancy
Rb1 Rb 0.0000 0.2955 0.0000 1
Rb2 Rb 0.0000 0.6205 0.5000 1
S1 S 0.0000 0.0000 0.3305 1
S2 S 0.3333 0.6667 0.0993 1
S3 S 0.3333 0.6667 0.7630 1
O1 O 0.0348 0.8833 0.2741 1
O2 O 0.1781 0.6200 0.1510 1
O3 O 0.2104 0.5181 0.7054 1
```

The 10 most intense peaks (2θ from 10° to 90°), low angle first:
21.78 deg, I 100
23.96 deg, I 22
29.89 deg, I 39
32.06 deg, I 37
37.29 deg, I 20
37.97 deg, I 15
40.64 deg, I 17
44.57 deg, I 16
46.20 deg, I 15
61.45 deg, I 10


[3]
Diffraction record for RbSO4. The powder diffraction line list is computed, not measured: it uses DFT lattice parameters and positions (GGA-PBE) and a wavelength of 1.5418 Å.
No peak broadening, texture or thermal motion is included.

Structure:
```
data_RbSO4
_chemical_formula_sum 'Rb4 S4 O16'
_space_group_name_H-M_alt 'P 1 21/c 1'
_space_group_IT_number 14
_cell_length_a 7.572
_cell_length_b 7.947
_cell_length_c 9.627
_cell_angle_alpha 90.00
_cell_angle_beta 128.62
_cell_angle_gamma 90.00
loop_
_space_group_symop_operation_xyz
'x,y,z'
'-x,-y,-z'
'-x,y+1/2,-z+1/2'
'x,-y+1/2,z+1/2'
loop_
_atom_site_label
_atom_site_type_symbol
_atom_site_fract_x
_atom_site_fract_y
_atom_site_fract_z
_atom_site_occupancy
Rb1 Rb 0.196 0.157 0.282 1
S1 S 0.272 0.666 0.185 1
O1 O 0.113 0.692 0.624 1
O2 O 0.210 0.526 0.249 1
O3 O 0.269 0.607 0.036 1
O4 O 0.494 0.218 0.163 1
```

The 10 most intense peaks (2θ from 10° to 90°), low angle first:
23.66 deg, I 60
25.35 deg, I 100
26.22 deg, I 23
26.53 deg, I 75
27.00 deg, I 24
30.22 deg, I 31
39.11 deg, I 35
42.23 deg, I 26
45.11 deg, I 21
45.48 deg, I 20


[4]
Diffraction record for Rb3S2O8. The powder diffraction line list is computed, not measured: it uses DFT lattice parameters and positions (GGA-PBE) and a wavelength of 1.5418 Å.
No peak broadening, texture or thermal motion is included.

Structure:
```
data_Rb3S2O8
_chemical_formula_sum 'Rb12 S8 O32'
_space_group_name_H-M_alt 'C 1 2/c 1'
_space_group_IT_number 15
_cell_length_a 15.486
_cell_length_b 6.092
_cell_length_c 10.236
_cell_angle_alpha 90.00
_cell_angle_beta 103.96
_cell_angle_gamma 90.00
loop_
_space_group_symop_operation_xyz
'x,y,z'
'-x,-y,-z'
'-x,y,-z+1/2'
'x,-y,z+1/2'
'x+1/2,y+1/2,z'
'-x+1/2,-y+1/2,-z'
'-x+1/2,y+1/2,-z+1/2'
'x+1/2,-y+1/2,z+1/2'
loop_
_atom_site_label
_atom_site_type_symbol
_atom_site_fract_x
_atom_site_fract_y
_atom_site_fract_z
_atom_site_occupancy
Rb1 Rb 0.000 0.230 0.250 1
Rb2 Rb 0.185 0.275 0.652 1
S1 S 0.114 0.219 0.967 1
O1 O 0.014 0.189 0.940 1
O2 O 0.126 0.430 0.900 1
O3 O 0.151 0.234 0.115 1
O4 O 0.153 0.033 0.909 1
```

The 10 most intense peaks (2θ from 10° to 90°), low angle first:
26.06 deg, I 54
26.23 deg, I 100
29.32 deg, I 38
30.02 deg, I 76
35.85 deg, I 17
38.06 deg, I 13
39.62 deg, I 31
40.93 deg, I 21
43.53 deg, I 19
46.97 deg, I 17


[5]
Diffraction record for RbSbS2O8. The powder diffraction line list is computed, not measured: it uses DFT lattice parameters and positions (GGA-PBE) and a wavelength of 1.5418 Å.
No peak broadening, texture or thermal motion is included.

Structure:
```
data_RbSbS2O8
_chemical_formula_sum 'Rb3 Sb3 S6 O24'
_space_group_name_H-M_alt 'R -3'
_space_group_IT_number 148
_space_group_name_Hall '-R 3'
_cell_length_a 5.1437
_cell_length_b 5.1437
_cell_length_c 25.7006
_cell_angle_alpha 90.00
_cell_angle_beta 90.00
_cell_angle_gamma 120.00
loop_
_atom_site_label
_atom_site_type_symbol
_atom_site_fract_x
_atom_site_fract_y
_atom_site_fract_z
_atom_site_occupancy
Rb1 Rb 0.0000 0.0000 0.0000 1
Sb1 Sb 0.0000 0.0000 0.5000 1
S1 S 0.0000 0.0000 0.2408 1
O1 O 0.0000 0.0000 0.2977 1
O2 O 0.0105 0.7304 0.2205 1
```

The 10 most intense peaks (2θ from 10° to 90°), low angle first:
10.33 deg, I 15
21.11 deg, I 10
24.31 deg, I 100
34.42 deg, I 25
34.89 deg, I 29
40.52 deg, I 10
40.93 deg, I 18
42.98 deg, I 15
55.86 deg, I 13
56.50 deg, I 14


[6]
Diffraction record for Rb2SiS6O21. The powder diffraction line list is computed, not measured: it uses DFT lattice parameters and positions (GGA-PBE) and a wavelength of 1.5418 Å.
No peak broadening, texture or thermal motion is included.

Structure:
```
data_Rb2SiS6O21
_chemical_formula_sum 'Rb4 Si2 S12 O42'
_space_group_name_H-M_alt 'P -3'
_space_group_IT_number 147
_cell_length_a 9.7850
_cell_length_b 9.7850
_cell_length_c 11.5636
_cell_angle_alpha 90.00
_cell_angle_beta 90.00
_cell_angle_gamma 120.00
loop_
_space_group_symop_operation_xyz
'x,y,z'
'-x,-y,-z'
'-y,x-y,z'
'y,-x+y,-z'
'-x+y,-x,z'
'x-y,x,-z'
loop_
_atom_site_label
_atom_site_type_symbol
_atom_site_fract_x
_atom_site_fract_y
_atom_site_fract_z
_atom_site_occupancy
Rb1 Rb 0.3333 0.6667 0.0653 1
Rb2 Rb 0.3333 0.6667 0.6231 1
Si1 Si 0.0000 0.0000 0.2651 1
S1 S 0.0791 0.7541 0.8372 1
S2 S 0.1444 0.3402 0.3500 1
O1 O 0.0178 0.6732 0.7071 1
O2 O 0.0296 0.3494 0.0776 1
O3 O 0.0684 0.9014 0.3590 1
O4 O 0.0742 0.9064 0.8282 1
O5 O 0.1486 0.4019 0.4630 1
O6 O 0.1538 0.7275 0.2712 1
O7 O 0.2152 0.4537 0.8384 1
```

The 10 most intense peaks (2θ from 10° to 90°), low angle first:
15.32 deg, I 11
18.58 deg, I 22
19.70 deg, I 29
20.97 deg, I 26
26.07 deg, I 100
31.68 deg, I 15
31.94 deg, I 19
32.71 deg, I 13
41.47 deg, I 15
42.11 deg, I 11


[7]
Diffraction record for Rb2SrS2O6. The powder diffraction line list is computed, not measured: it uses DFT lattice parameters and positions (GGA-PBE) and a wavelength of 1.5418 Å.
No peak broadening, texture or thermal motion is included.

Structure:
```
data_Rb2SrS2O6
_chemical_formula_sum 'Rb6 Sr3 S6 O18'
_space_group_name_H-M_alt 'R -3 m'
_space_group_IT_number 166
_space_group_name_Hall '-R 3 2"'
_cell_length_a 6.0990
_cell_length_b 6.0990
_cell_length_c 24.3606
_cell_angle_alpha 90.00
_cell_angle_beta 90.00
_cell_angle_gamma 120.00
loop_
_atom_site_label
_atom_site_type_symbol
_atom_site_fract_x
_atom_site_fract_y
_atom_site_fract_z
_atom_site_occupancy
Rb1 Rb 0.0000 0.0000 0.2331 1
Sr1 Sr 0.0000 0.0000 0.5000 1
S1 S 0.0000 0.0000 0.0857 1
O1 O 0.0649 0.5324 0.7781 1
```

The 10 most intense peaks (2θ from 10° to 90°), low angle first:
10.90 deg, I 100
21.89 deg, I 15
22.28 deg, I 37
29.29 deg, I 68
30.77 deg, I 35
31.33 deg, I 22
33.98 deg, I 19
37.11 deg, I 28
42.99 deg, I 27
47.96 deg, I 17


[8]
Diffraction record for Rb3U2S4O3. The powder diffraction line list is computed, not measured: it uses DFT lattice parameters and positions (GGA-PBE) and a wavelength of 1.5418 Å.
No peak broadening, texture or thermal motion is included.

Structure:
```
data_Rb3U2S4O3
_chemical_formula_sum 'Rb6 U4 S8 O6'
_space_group_name_H-M_alt 'I m m m'
_space_group_IT_number 71
_space_group_name_Hall '-I 2 2'
_cell_length_a 4.266
_cell_length_b 5.337
_cell_length_c 26.139
_cell_angle_alpha 90.00
_cell_angle_beta 90.00
_cell_angle_gamma 90.00
loop_
_atom_site_label
_atom_site_type_symbol
_atom_site_fract_x
_atom_site_fract_y
_atom_site_fract_z
_atom_site_occupancy
Rb1 Rb 0.000 0.000 0.000 1
Rb2 Rb 0.000 0.000 0.189 1
U1 U 0.000 0.000 0.418 1
S1 S 0.000 0.000 0.322 1
S2 S 0.000 0.500 0.411 1
O1 O 0.000 0.000 0.500 1
O2 O 0.000 0.500 0.079 1
```

The 10 most intense peaks (2θ from 10° to 90°), low angle first:
16.96 deg, I 40
21.10 deg, I 36
23.83 deg, I 75
26.75 deg, I 100
26.98 deg, I 73
29.19 deg, I 23
33.58 deg, I 46
42.38 deg, I 24
43.59 deg, I 45
49.20 deg, I 23